For Li2NiP2O8, DFT lattice parameters and positions (PBE+U) gives the theoretical powder diffraction line list in this record (Cu Kα (λ = 1.5418 Å)).

Main lines, low angle first (10° ≤ 2θ ≤ 90°):
two_theta, intensity, (hkl)
14.0, 50, 0 0 1
24.3, 100, 1 1 1
25.3, 58, 2 0 -1
33.4, 24, 0 2 0
34.6, 30, 1 1 -2
34.8, 34, 1 1 2
36.1, 27, 3 1 0
44.3, 14, 0 2 2
63.2, 15, 4 2 -2
63.6, 14, 4 2 2

Cell and atoms:
a b c (Å): 8.424 5.368 6.305
angles (deg): 90.00 90.53 90.00
Space group Cm (No. 8)
One atom of each set of equivalent atoms:
Li (0.000, 0.000, 0.000) x2
Li (0.179, 0.500, 0.252) x2
Ni (0.004, 0.000, 0.515) x2
P (0.153, 0.500, 0.748) x2
P (0.367, 0.000, 0.266) x2
O (0.044, 0.266, 0.746) x4
O (0.239, 0.000, 0.441) x2
O (0.245, 0.000, 0.080) x2
O (0.252, 0.500, 0.956) x2
O (0.262, 0.500, 0.550) x2
O (0.474, 0.232, 0.270) x4